Record 1
# Cd2ReO4
Computed X-ray powder pattern, Cu Ka. Input: a crystal structure in Alexandria, relaxed with GGA-PBE.

Cell and atoms:
```
14
Lattice="5.806 0.000 0.000 0.000 5.806 0.000 0.000 0.000 7.079" Properties=species:S:1:pos:R:3 pbc="T T T"
Cd 0.000 2.903 1.770
Cd 0.000 2.903 5.309
Cd 2.903 0.000 1.770
Cd 2.903 0.000 5.309
Re 0.000 0.000 0.000
Re 2.903 2.903 3.539
O 1.239 1.239 0.618
O 1.239 4.567 6.460
O 1.664 1.664 4.158
O 1.664 4.142 2.921
O 4.142 1.664 2.921
O 4.142 4.142 4.158
O 4.567 1.239 6.460
O 4.567 4.567 0.618
```

Principal peaks in the range 2θ = 5–70°, by intensity:
| Position (°2θ) | I/Imax |
| --- | --- |
| 33.43 | 100 |
| 19.78 | 82 |
| 30.80 | 44 |
| 56.46 | 42 |
| 44.12 | 28 |
| 36.87 | 26 |
| 61.35 | 19 |
| 52.40 | 11 |
| 41.30 | 11 |
| 58.81 | 10 |

Record 2
# CdReO4
Computed X-ray powder pattern, Cu Ka. Input: a crystal structure in Alexandria, relaxed with GGA-PBE.

Cell and atoms:
```
12
Lattice="5.500 0.000 0.000 0.000 4.857 0.000 0.000 0.000 5.742" Properties=species:S:1:pos:R:3 pbc="T T T"
Cd 0.000 0.000 0.000
Cd 0.000 2.429 2.871
Re 2.750 0.000 2.114
Re 2.750 2.429 4.985
O 1.150 0.866 1.815
O 1.150 1.563 4.686
O 2.053 3.630 0.538
O 2.053 3.656 3.409
O 3.447 1.201 3.409
O 3.447 1.227 0.538
O 4.351 3.295 4.686
O 4.351 3.991 1.815
```

Principal peaks in the range 2θ = 5–70°, by intensity:
| Position (°2θ) | I/Imax |
| --- | --- |
| 29.04 | 100 |
| 24.00 | 24 |
| 32.56 | 18 |
| 55.95 | 17 |
| 52.05 | 17 |
| 35.26 | 15 |
| 50.11 | 15 |
| 61.88 | 12 |
| 51.30 | 12 |
| 62.09 | 12 |

Record 3
# Cd2Re2O7
Computed X-ray powder pattern, Cu Ka. Input: a crystal structure in Alexandria, relaxed with GGA-PBE.

Cell and atoms:
```
22
Lattice="0.000 5.191 5.191 5.191 0.000 5.191 5.191 5.191 0.000" Properties=species:S:1:pos:R:3 pbc="T T T"
Cd 0.000 0.000 0.000
Cd 2.596 2.596 0.000
Cd 2.596 0.000 2.596
Cd 0.000 2.596 2.596
Re 5.191 2.596 2.596
Re 2.596 5.191 2.596
Re 2.596 2.596 5.191
Re 5.191 5.191 5.191
O 1.298 1.298 1.298
O 3.894 3.894 1.926
O 3.894 1.926 3.894
O 5.861 3.894 3.894
O 6.489 6.489 4.522
O 6.489 4.522 6.489
O 8.457 6.489 6.489
O 1.926 3.894 3.894
O 3.894 5.861 3.894
O 3.894 3.894 5.861
O 4.522 6.489 6.489
O 6.489 8.457 6.489
O 6.489 6.489 8.457
O 9.085 9.085 9.085
```

Principal peaks in the range 2θ = 5–70°, by intensity:
| Position (°2θ) | I/Imax |
| --- | --- |
| 29.81 | 100 |
| 59.01 | 43 |
| 49.67 | 42 |
| 34.55 | 37 |
| 61.92 | 12 |
| 14.78 | 10 |
| 28.51 | 7 |
| 45.39 | 2 |
| 69.54 | 2 |
| 52.11 | 2 |

Record 4
# Tb2CdReO8
Computed X-ray powder pattern, Cu Ka. Input: a crystal structure in Alexandria, relaxed with GGA-PBE.

Cell and atoms:
```
12
Lattice="3.442 -3.580 0.000 3.442 3.580 0.000 0.000 0.000 7.075" Properties=species:S:1:pos:R:3 pbc="T T T"
Tb 0.000 0.000 1.750
Tb 0.000 0.000 5.325
Cd 3.442 0.000 0.000
Re 3.442 0.000 3.537
O 1.357 0.000 0.000
O 1.529 0.000 3.537
O 3.442 1.317 2.181
O 3.442 1.317 4.894
O 3.442 -1.317 2.181
O 3.442 -1.317 4.894
O 5.354 0.000 3.537
O 5.527 0.000 0.000
```

Principal peaks in the range 2θ = 5–70°, by intensity:
| Position (°2θ) | I/Imax |
| --- | --- |
| 31.05 | 100 |
| 24.87 | 54 |
| 25.89 | 47 |
| 47.84 | 37 |
| 49.00 | 34 |
| 36.21 | 26 |
| 61.93 | 20 |
| 58.14 | 19 |
| 64.73 | 12 |
| 59.61 | 9 |